Record 1
Theoretical XRD peak list
Compound: Rb2MgMoO4
Radiation: Cu Kα (λ = 1.5418 Å)
Structure: DFT lattice parameters and positions (PBE+U)
Neutral-atom scattering factors, no anomalous dispersion.

Top 12 peaks for 2θ = 10–80°, in order of rising 2θ:
- 2θ = 17.48°, intensity 100
- 2θ = 25.67°, intensity 28
- 2θ = 26.48°, intensity 34
- 2θ = 27.79°, intensity 37
- 2θ = 28.57°, intensity 14
- 2θ = 29.52°, intensity 68
- 2θ = 33.67°, intensity 40
- 2θ = 34.26°, intensity 41
- 2θ = 41.48°, intensity 17
- 2θ = 48.69°, intensity 14
- 2θ = 49.89°, intensity 32
- 2θ = 51.93°, intensity 21

Structural model:
Lattice parameters (Å, degrees): 12.1893 10.5518 7.3065 83.99 59.42 36.59
Element x y z (fractional)
Rb  0.0568  0.0568  0.6932
Rb  0.3068  0.3068  0.9432
Rb  0.6932  0.6932  0.0568
Rb  0.9432  0.9432  0.3068
Mg  0.3750  0.3750  0.3750
Mg  0.6250  0.6250  0.6250
Mo  0.1250  0.1250  0.1250
Mo  0.8750  0.8750  0.8750
O  0.0030  0.2943  0.4343
O  0.2316  0.5657  0.7057
O  0.2943  0.0030  0.7684
O  0.4343  0.7684  0.0030
O  0.5657  0.2316  0.9970
O  0.7057  0.9970  0.2316
O  0.7684  0.4343  0.2943
O  0.9970  0.7057  0.5657

=====

Record 2
Theoretical XRD peak list
Compound: MgSbMoO6
Radiation: Cu Kα (λ = 1.5418 Å)
Structure: DFT lattice parameters and positions (PBE+U)
Neutral-atom scattering factors, no anomalous dispersion.

Top 12 peaks for 2θ = 10–80°, in order of rising 2θ:
- 2θ = 19.45°, intensity 89
- 2θ = 19.56°, intensity 50
- 2θ = 27.73°, intensity 100
- 2θ = 34.23°, intensity 59
- 2θ = 39.68°, intensity 92
- 2θ = 44.60°, intensity 26
- 2θ = 53.24°, intensity 70
- 2θ = 57.40°, intensity 25
- 2θ = 61.29°, intensity 28
- 2θ = 64.96°, intensity 19
- 2θ = 71.75°, intensity 16
- 2θ = 75.52°, intensity 15

Structural model:
Lattice parameters (Å, degrees): 5.2393 5.2393 9.1269 90.00 90.00 120.00
Element x y z (fractional)
Mg  0.0000  0.0000  0.0000
Mg  0.0000  0.0000  0.5000
Sb  0.3333  0.6667  0.2500
Sb  0.6667  0.3333  0.7500
Mo  0.3333  0.6667  0.7500
Mo  0.6667  0.3333  0.2500
O  0.0025  0.3496  0.6329
O  0.0025  0.6529  0.8671
O  0.3471  0.3496  0.8671
O  0.3471  0.9975  0.6329
O  0.3496  0.0025  0.1329
O  0.3496  0.3471  0.3671
O  0.6504  0.6529  0.6329
O  0.6504  0.9975  0.8671
O  0.6529  0.0025  0.3671
O  0.6529  0.6504  0.1329
O  0.9975  0.3471  0.1329
O  0.9975  0.6504  0.3671

=====

Record 3
Theoretical XRD peak list
Compound: MgSnMoO6
Radiation: Cu Kα (λ = 1.5418 Å)
Structure: DFT lattice parameters and positions (PBE+U)
Neutral-atom scattering factors, no anomalous dispersion.

Top 12 peaks for 2θ = 10–80°, in order of rising 2θ:
- 2θ = 19.05°, intensity 15
- 2θ = 20.87°, intensity 39
- 2θ = 26.34°, intensity 100
- 2θ = 32.71°, intensity 14
- 2θ = 34.42°, intensity 68
- 2θ = 37.59°, intensity 17
- 2θ = 51.89°, intensity 66
- 2θ = 54.22°, intensity 18
- 2θ = 61.26°, intensity 14
- 2θ = 65.82°, intensity 21
- 2θ = 66.21°, intensity 14
- 2θ = 78.35°, intensity 12

Structural model:
Lattice parameters (Å, degrees): 4.7851 4.7851 9.3179 90.00 90.00 90.00
Element x y z (fractional)
Mg  0.0000  0.0000  0.0000
Mg  0.5000  0.5000  0.5000
Sn  0.0000  0.0000  0.3294
Sn  0.5000  0.5000  0.8294
Mo  0.0000  0.0000  0.6676
Mo  0.5000  0.5000  0.1676
O  0.1893  0.1893  0.5077
O  0.1929  0.1929  0.8186
O  0.2089  0.2089  0.1668
O  0.2911  0.7089  0.6668
O  0.3071  0.6929  0.3186
O  0.3107  0.6893  0.0077
O  0.6893  0.3107  0.0077
O  0.6929  0.3071  0.3186
O  0.7089  0.2911  0.6668
O  0.7911  0.7911  0.1668
O  0.8071  0.8071  0.8186
O  0.8107  0.8107  0.5077